Diffraction record for Sr4LiMn2Ga2O10. The X-ray diffraction stick pattern is theoretical, not measured: it uses a structure optimized by DFT (GGA+U) and a wavelength of 1.5418 Å.

Top 12 peaks for 10° ≤ 2θ ≤ 90°, low angle first:
2θ (°), d [Å], I (rel.)
22.69, 3.919, 19
30.59, 2.923, 100
31.97, 2.800, 37
33.50, 2.675, 9
41.09, 2.197, 9
41.69, 2.167, 14
45.84, 1.980, 23
49.90, 1.827, 16
53.48, 1.713, 11
56.11, 1.639, 18
62.42, 1.488, 10
78.38, 1.220, 8

Structure:
Cell lengths 9.032, 8.858, 5.867 Å; angles 72.48, 69.25, 38.27 degrees
Atoms (fractional coordinates):
Sr  0.199  0.801  0.199
Sr  0.489  0.942  0.058
Sr  0.801  0.199  0.801
Sr  0.942  0.489  0.511
Li  0.477  0.477  0.523
Mn  0.366  0.863  0.634
Mn  0.863  0.366  0.137
Ga  0.169  0.535  0.831
Ga  0.535  0.169  0.465
O  0.109  0.109  0.391
O  0.119  0.119  0.881
O  0.184  0.733  0.816
O  0.209  0.514  0.486
O  0.514  0.209  0.791
O  0.548  0.958  0.452
O  0.593  0.593  0.407
O  0.609  0.609  0.891
O  0.733  0.184  0.267
O  0.958  0.548  0.042